# 1
This entry pairs a crystal structure of Zr2CN with its calculated powder diffractogram. Radiation: Cu Kα (λ = 1.5418 Å). Structure: the GGA-PBE geometry in Alexandria.

Principal peaks in the range 2θ = 5–70°, sorted by position:
d_spacing  Rel. int.
2.698  100
2.337  83
1.653  45
1.650  9
1.410  27
1.408  14
1.350  13
1.348  4

```
Zr2CN
1.0
3.301 -6.611 0.000
3.301 6.611 0.000
-3.295 0.000 4.679
Zr C N
8 4 4
direct
0.060 0.435 0.746
0.184 0.309 0.246
0.309 0.184 0.746
0.435 0.060 0.246
0.565 0.940 0.754
0.691 0.816 0.254
0.816 0.691 0.754
0.940 0.565 0.254
0.062 0.938 0.250
0.187 0.813 0.750
0.813 0.187 0.250
0.938 0.062 0.750
0.312 0.688 0.250
0.437 0.563 0.750
0.563 0.437 0.250
0.688 0.312 0.750
```



# 2
This entry pairs a crystal structure of Na3Pd8Pb4 with its calculated powder diffractogram. Radiation: Cu Kα (λ = 1.5418 Å). Structure: the GGA-PBE geometry in Alexandria.

Principal peaks in the range 2θ = 5–70°, sorted by position:
d_spacing  Rel. int.
6.695  12
3.865  56
2.577  15
2.367  100
2.263  14
2.042  11
2.019  52
1.674  9
1.497  9
1.367  29

```
Na3Pd8Pb4
1.0
0.000 6.695 6.695
6.695 0.000 6.695
6.695 6.695 0.000
Na Pd Pb
6 16 8
direct
0.229 0.229 0.771
0.229 0.771 0.229
0.229 0.771 0.771
0.771 0.229 0.229
0.771 0.229 0.771
0.771 0.771 0.229
0.141 0.620 0.620
0.171 0.171 0.171
0.171 0.171 0.487
0.171 0.487 0.171
0.380 0.380 0.380
0.380 0.380 0.859
0.380 0.859 0.380
0.487 0.171 0.171
0.513 0.829 0.829
0.620 0.141 0.620
0.620 0.620 0.141
0.620 0.620 0.620
0.829 0.513 0.829
0.829 0.829 0.513
0.829 0.829 0.829
0.859 0.380 0.380
0.000 0.000 0.000
0.000 0.000 0.500
0.000 0.500 0.000
0.000 0.500 0.500
0.500 0.000 0.000
0.500 0.000 0.500
0.500 0.500 0.000
0.500 0.500 0.500
```



# 3
This entry pairs a crystal structure of TlRuSe2N with its calculated powder diffractogram. Radiation: Cu Kα (λ = 1.5418 Å). Structure: the GGA-PBE geometry in Alexandria.

Principal peaks in the range 2θ = 5–70°, sorted by position:
d_spacing  Rel. int.
3.725  25
3.016  100
2.634  95
2.617  59
1.984  62
1.863  34
1.839  16
1.518  22
1.508  34
1.358  18

```
TlRuSe2N
1.0
5.268 0.000 0.000
0.000 5.268 0.000
0.000 0.000 3.679
Tl Ru Se N
1 1 2 1
direct
0.000 0.000 0.000
0.500 0.500 0.500
0.000 0.500 0.500
0.500 0.000 0.500
0.500 0.500 0.000
```



# 4
This entry pairs a crystal structure of Tm8ZnIn2 with its calculated powder diffractogram. Radiation: Cu Kα (λ = 1.5418 Å). Structure: the GGA-PBE geometry in Alexandria.

Principal peaks in the range 2θ = 5–70°, sorted by position:
d_spacing  Rel. int.
3.115  38
2.979  24
2.902  100
2.867  34
2.804  63
2.707  33
2.638  77
2.560  84
2.414  31
1.522  20

```
Tm8ZnIn2
1.0
9.065 -2.560 0.000
9.065 2.560 0.000
-1.590 0.000 6.520
Tm Zn In
8 1 2
direct
0.017 0.017 0.269
0.202 0.202 0.790
0.348 0.348 0.536
0.407 0.407 0.045
0.593 0.593 0.955
0.652 0.652 0.464
0.798 0.798 0.210
0.983 0.983 0.731
0.500 0.500 0.500
0.188 0.188 0.237
0.812 0.812 0.763
```



# 5
This entry pairs a crystal structure of KCdPbAu3 with its calculated powder diffractogram. Radiation: Cu Kα (λ = 1.5418 Å). Structure: the GGA-PBE geometry in Alexandria.

Principal peaks in the range 2θ = 5–70°, sorted by position:
d_spacing  Rel. int.
5.167  100
3.078  25
2.795  29
2.736  35
2.456  50
2.419  24
2.414  25
2.336  27
2.037  43
1.528  18

```
KCdPbAu3
1.0
3.289 -7.840 0.000
3.289 7.840 0.000
-2.373 0.000 6.303
K Cd Pb Au
2 2 2 6
direct
0.205 0.795 0.750
0.795 0.205 0.250
0.468 0.532 0.750
0.532 0.468 0.250
0.029 0.971 0.250
0.971 0.029 0.750
0.216 0.784 0.250
0.241 0.500 0.036
0.500 0.241 0.536
0.500 0.759 0.464
0.759 0.500 0.964
0.784 0.216 0.750
```



# 6
This entry pairs a crystal structure of Zr4Sc with its calculated powder diffractogram. Radiation: Cu Kα (λ = 1.5418 Å). Structure: the GGA-PBE geometry in Alexandria.

Principal peaks in the range 2θ = 5–70°, sorted by position:
d_spacing  Rel. int.
2.693  42
2.602  63
2.537  25
2.525  100
2.460  94
2.168  20
1.871  28
1.670  15
1.501  29
1.460  17

```
Zr4Sc
1.0
5.734 0.000 0.000
0.000 5.385 0.000
-3.428 0.000 7.584
Zr Sc
8 2
direct
0.099 0.061 0.203
0.099 0.439 0.703
0.283 0.553 0.102
0.283 0.947 0.602
0.717 0.053 0.398
0.717 0.447 0.898
0.901 0.561 0.297
0.901 0.939 0.797
0.500 0.000 0.000
0.500 0.500 0.500
```